(1)
Simulated X-ray powder pattern of CdAu2F8 for Cu Kα, 1.54184 Å, from a DFT-relaxed cell (PBE, Alexandria).
No peak broadening, texture or thermal motion is included.

Structural model:
Lattice parameters (Å, degrees): 5.8910 5.8910 10.5129 90.00 90.00 90.00
Fractional coordinates of all 22 atoms:
1 Cd 0.0000 0.0000 0.2500
2 Cd 0.0000 0.0000 0.7500
3 Au 0.0000 0.5000 0.0000
4 Au 0.0000 0.5000 0.5000
5 Au 0.5000 0.0000 0.0000
6 Au 0.5000 0.0000 0.5000
7 F 0.1453 0.3071 0.1299
8 F 0.1453 0.3071 0.8701
9 F 0.1453 0.6929 0.3701
10 F 0.1453 0.6929 0.6299
11 F 0.3071 0.1453 0.3701
12 F 0.3071 0.1453 0.6299
13 F 0.3071 0.8547 0.1299
14 F 0.3071 0.8547 0.8701
15 F 0.6929 0.1453 0.1299
16 F 0.6929 0.1453 0.8701
17 F 0.6929 0.8547 0.3701
18 F 0.6929 0.8547 0.6299
19 F 0.8547 0.3071 0.3701
20 F 0.8547 0.3071 0.6299
21 F 0.8547 0.6929 0.1299
22 F 0.8547 0.6929 0.8701

Top 6 peaks for 15 to 90 degrees two-theta, in order of rising 2θ:
2θ 16.87, rel. 21
2θ 21.33, rel. 35
2θ 27.32, rel. 100
2θ 30.35, rel. 27
2θ 46.30, rel. 32
2θ 52.09, rel. 35

=====

(2)
Simulated X-ray powder pattern of KCdAuF6 for Cu Kα, 1.54184 Å, from a DFT-relaxed cell (PBE, Alexandria).
No peak broadening, texture or thermal motion is included.

Structural model:
Lattice parameters (Å, degrees): 5.5814 5.7658 5.8604 111.57 92.40 92.84
Fractional coordinates of all 9 atoms:
1 K 0.0000 0.0000 0.0000
2 Cd 0.5030 0.3150 0.6898
3 Au 0.5025 0.6728 0.3286
4 F 0.2308 0.0304 0.6344
5 F 0.3280 0.6533 0.0198
6 F 0.3287 0.3650 0.3291
7 F 0.6750 0.6743 0.6318
8 F 0.6786 0.9876 0.3490
9 F 0.7785 0.3771 0.9671

Top 6 peaks for 15 to 90 degrees two-theta, in order of rising 2θ:
2θ 15.93, rel. 100
2θ 18.46, rel. 28
2θ 22.11, rel. 23
2θ 24.41, rel. 22
2θ 27.38, rel. 27
2θ 30.65, rel. 30

=====

(3)
Simulated X-ray powder pattern of CdGaAu14 for Cu Kα, 1.54184 Å, from a DFT-relaxed cell (PBE, Alexandria).
No peak broadening, texture or thermal motion is included.

Structural model:
Lattice parameters (Å, degrees): 9.4339 5.7655 5.7655 68.61 90.00 90.00
Fractional coordinates of all 16 atoms:
1 Cd 0.0000 0.0000 0.0000
2 Ga 0.0000 0.4806 0.4806
3 Au 0.0000 0.5063 0.9735
4 Au 0.0000 0.9735 0.5063
5 Au 0.2434 0.2932 0.2932
6 Au 0.2451 0.3159 0.7852
7 Au 0.2451 0.7852 0.3159
8 Au 0.2541 0.8113 0.8113
9 Au 0.5000 0.1117 0.1117
10 Au 0.5000 0.1295 0.6066
11 Au 0.5000 0.6066 0.1295
12 Au 0.5000 0.6235 0.6235
13 Au 0.7459 0.8113 0.8113
14 Au 0.7549 0.3159 0.7852
15 Au 0.7549 0.7852 0.3159
16 Au 0.7566 0.2932 0.2932

Top 6 peaks for 15 to 90 degrees two-theta, in order of rising 2θ:
2θ 34.75, rel. 20
2θ 38.16, rel. 35
2θ 38.59, rel. 100
2θ 39.01, rel. 15
2θ 42.53, rel. 16
2θ 69.25, rel. 18